No. 1
The following is a calculated powder X-ray diffraction pattern of LiSnHgPb2. It was derived from a crystal structure in Alexandria, relaxed with PBE, using Cu Kα (λ = 1.5418 Å).

Cell and atoms:
Unit cell a=8.260 b=8.260 c=8.260 alpha=155.58 beta=144.48 gamma=43.58
Element x y z (fractional)
Li1 0.000 0.000 0.000
Sn1 0.395 0.895 0.500
Hg1 0.591 0.091 0.500
Pb1 0.178 0.678 0.500
Pb2 0.807 0.307 0.500

Largest 8 diffraction maxima, in order of rising 2θ, 10 to 90 degrees two-theta:
2θ 11.5, d = 7.669 Å, intensity 31; 2θ 24.8, d = 3.589 Å, intensity 29; 2θ 31.1, d = 2.872 Å, intensity 100; 2θ 34.2, d = 2.620 Å, intensity 72; 2θ 35.6, d = 2.520 Å, intensity 36; 2θ 39.1, d = 2.305 Å, intensity 49; 2θ 53.9, d = 1.701 Å, intensity 41; 2θ 64.1, d = 1.454 Å, intensity 24

No. 2
The following is a calculated powder X-ray diffraction pattern of Sr5Ag2Pt. It was derived from a crystal structure in Alexandria, relaxed with PBE, using Cu Kα (λ = 1.5418 Å).

Cell and atoms:
Unit cell a=9.952 b=9.952 c=8.499 alpha=96.92 beta=96.92 gamma=44.71
Element x y z (fractional)
Sr1 0.077 0.923 0.750
Sr2 0.138 0.297 0.307
Sr3 0.292 0.518 0.076
Sr4 0.297 0.138 0.807
Sr5 0.482 0.708 0.424
Sr6 0.518 0.292 0.576
Sr7 0.703 0.862 0.193
Sr8 0.708 0.482 0.924
Sr9 0.862 0.703 0.693
Sr10 0.923 0.077 0.250
Ag1 0.108 0.692 0.428
Ag2 0.308 0.892 0.072
Ag3 0.692 0.108 0.928
Ag4 0.892 0.308 0.572
Pt1 0.000 0.500 0.000
Pt2 0.500 0.000 0.500

Largest 8 diffraction maxima, in order of rising 2θ, 10 to 90 degrees two-theta:
2θ 20.5, d = 4.325 Å, intensity 93; 2θ 27.1, d = 3.288 Å, intensity 73; 2θ 29.4, d = 3.042 Å, intensity 58; 2θ 30.3, d = 2.948 Å, intensity 85; 2θ 31.8, d = 2.816 Å, intensity 65; 2θ 33.8, d = 2.653 Å, intensity 100; 2θ 34.0, d = 2.634 Å, intensity 54; 2θ 39.6, d = 2.277 Å, intensity 68

No. 3
The following is a calculated powder X-ray diffraction pattern of K2Er2UTe6. It was derived from a crystal structure in Alexandria, relaxed with PBE, using Cu Kα (λ = 1.5418 Å).

Cell and atoms:
Unit cell a=7.634 b=7.634 c=8.818 alpha=98.33 beta=98.33 gamma=119.96
Element x y z (fractional)
K1 0.167 0.833 0.000
K2 0.833 0.167 0.000
Er1 0.332 0.668 0.500
Er2 0.668 0.332 0.500
U1 0.000 0.000 0.500
Te1 0.071 0.402 0.706
Te2 0.266 0.266 0.296
Te3 0.402 0.071 0.706
Te4 0.598 0.929 0.294
Te5 0.734 0.734 0.704
Te6 0.929 0.598 0.294

Largest 8 diffraction maxima, in order of rising 2θ, 10 to 90 degrees two-theta:
2θ 10.5, d = 8.439 Å, intensity 75; 2θ 27.3, d = 3.269 Å, intensity 100; 2θ 34.1, d = 2.626 Å, intensity 27; 2θ 36.9, d = 2.437 Å, intensity 36; 2θ 40.9, d = 2.204 Å, intensity 36; 2θ 46.0, d = 1.971 Å, intensity 17; 2θ 49.9, d = 1.828 Å, intensity 19; 2θ 70.2, d = 1.340 Å, intensity 18

No. 4
The following is a calculated powder X-ray diffraction pattern of CsTa2O6. It was derived from a crystal structure in Alexandria, relaxed with PBE, using Cu Kα (λ = 1.5418 Å).

Cell and atoms:
Unit cell a=7.521 b=7.521 c=7.521 alpha=60.00 beta=60.00 gamma=60.00
Element x y z (fractional)
Cs1 0.125 0.125 0.125
Cs2 0.875 0.875 0.875
Ta1 0.000 0.500 0.500
Ta2 0.500 0.000 0.500
Ta3 0.500 0.500 0.000
Ta4 0.500 0.500 0.500
O1 0.188 0.188 0.562
O2 0.188 0.562 0.188
O3 0.188 0.562 0.562
O4 0.438 0.438 0.812
O5 0.438 0.812 0.438
O6 0.438 0.812 0.812
O7 0.562 0.188 0.188
O8 0.562 0.188 0.562
O9 0.562 0.562 0.188
O10 0.812 0.438 0.438
O11 0.812 0.438 0.812
O12 0.812 0.812 0.438

Largest 8 diffraction maxima, in order of rising 2θ, 10 to 90 degrees two-theta:
2θ 14.4, d = 6.141 Å, intensity 28; 2θ 27.8, d = 3.207 Å, intensity 100; 2θ 29.1, d = 3.071 Å, intensity 50; 2θ 44.2, d = 2.047 Å, intensity 34; 2θ 48.4, d = 1.880 Å, intensity 39; 2θ 56.8, d = 1.622 Å, intensity 15; 2θ 57.5, d = 1.604 Å, intensity 23; 2θ 67.7, d = 1.385 Å, intensity 25

No. 5
The following is a calculated powder X-ray diffraction pattern of Cs2Tl5Pb12. It was derived from a crystal structure in Alexandria, relaxed with PBE, using Cu Kα (λ = 1.5418 Å).

Cell and atoms:
Unit cell a=8.799 b=8.799 c=8.799 alpha=82.70 beta=82.70 gamma=82.70
Element x y z (fractional)
Cs1 0.159 0.159 0.159
Cs2 0.841 0.841 0.841
Tl1 0.000 0.500 0.500
Tl2 0.399 0.399 0.399
Tl3 0.500 0.000 0.500
Tl4 0.500 0.500 0.000
Tl5 0.601 0.601 0.601
Pb1 0.146 0.146 0.657
Pb2 0.146 0.657 0.146
Pb3 0.210 0.500 0.790
Pb4 0.210 0.790 0.500
Pb5 0.343 0.854 0.854
Pb6 0.500 0.210 0.790
Pb7 0.500 0.790 0.210
Pb8 0.657 0.146 0.146
Pb9 0.790 0.210 0.500
Pb10 0.790 0.500 0.210
Pb11 0.854 0.343 0.854
Pb12 0.854 0.854 0.343

Largest 8 diffraction maxima, in order of rising 2θ, 10 to 90 degrees two-theta:
2θ 27.4, d = 3.255 Å, intensity 29; 2θ 30.8, d = 2.906 Å, intensity 58; 2θ 30.9, d = 2.891 Å, intensity 84; 2θ 31.5, d = 2.844 Å, intensity 45; 2θ 31.7, d = 2.825 Å, intensity 27; 2θ 34.7, d = 2.588 Å, intensity 100; 2θ 35.1, d = 2.555 Å, intensity 28; 2θ 54.7, d = 1.678 Å, intensity 30

No. 6
The following is a calculated powder X-ray diffraction pattern of AcPmNi2H8. It was derived from a crystal structure in Alexandria, relaxed with PBE, using Cu Kα (λ = 1.5418 Å).

Cell and atoms:
Unit cell a=7.471 b=7.471 c=7.471 alpha=35.48 beta=35.48 gamma=35.48
Element x y z (fractional)
Ac1 0.000 0.000 0.000
Pm1 0.500 0.500 0.500
Ni1 0.249 0.249 0.249
Ni2 0.751 0.751 0.751
H1 0.037 0.037 0.590
H2 0.037 0.590 0.037
H3 0.325 0.325 0.325
H4 0.410 0.963 0.963
H5 0.590 0.037 0.037
H6 0.675 0.675 0.675
H7 0.963 0.410 0.963
H8 0.963 0.963 0.410

Largest 8 diffraction maxima, in order of rising 2θ, 10 to 90 degrees two-theta:
2θ 24.1, d = 3.691 Å, intensity 32; 2θ 28.3, d = 3.152 Å, intensity 100; 2θ 39.6, d = 2.276 Å, intensity 41; 2θ 41.3, d = 2.184 Å, intensity 37; 2θ 49.4, d = 1.845 Å, intensity 22; 2θ 65.1, d = 1.434 Å, intensity 19; 2θ 67.6, d = 1.387 Å, intensity 17; 2θ 73.0, d = 1.296 Å, intensity 13

No. 7
The following is a calculated powder X-ray diffraction pattern of Na2Ca5TiSi4O16F2. It was derived from a crystal structure in Alexandria, relaxed with PBE, using Cu Kα (λ = 1.5418 Å).

Cell and atoms:
Unit cell a=7.403 b=5.720 c=19.195 alpha=90.00 beta=101.10 gamma=90.00
Element x y z (fractional)
Na1 0.004 0.000 0.255
Na2 0.492 0.006 0.251
Na3 0.508 0.506 0.749
Na4 0.996 0.500 0.745
Ca1 0.149 0.178 0.053
Ca2 0.157 0.341 0.558
Ca3 0.252 0.001 0.749
Ca4 0.341 0.664 0.936
Ca5 0.347 0.840 0.441
Ca6 0.653 0.340 0.559
Ca7 0.659 0.164 0.064
Ca8 0.748 0.501 0.251
Ca9 0.843 0.841 0.442
Ca10 0.851 0.678 0.947
Ti1 0.252 0.534 0.262
Ti2 0.748 0.034 0.738
Si1 0.040 0.344 0.392
Si2 0.102 0.161 0.887
Si3 0.397 0.846 0.610
Si4 0.457 0.661 0.108
Si5 0.543 0.161 0.892
Si6 0.603 0.346 0.390
Si7 0.898 0.661 0.113
Si8 0.960 0.844 0.608
O1 0.019 0.631 0.194
O2 0.077 0.410 0.924
O3 0.090 0.358 0.312
O4 0.094 0.945 0.941
O5 0.097 0.102 0.434
O6 0.103 0.569 0.442
O7 0.189 0.852 0.632
O8 0.232 0.260 0.181
O9 0.281 0.795 0.309
O10 0.313 0.153 0.867
O11 0.398 0.455 0.050
O12 0.401 0.921 0.078
O13 0.403 0.613 0.187
O14 0.411 0.069 0.559
O15 0.416 0.602 0.570
O16 0.477 0.367 0.310
O17 0.523 0.867 0.690
O18 0.584 0.102 0.430
O19 0.589 0.569 0.441
O20 0.597 0.113 0.813
O21 0.599 0.421 0.922
O22 0.602 0.955 0.950
O23 0.687 0.653 0.133
O24 0.719 0.295 0.691
O25 0.768 0.760 0.819
O26 0.811 0.352 0.368
O27 0.897 0.069 0.558
O28 0.903 0.602 0.566
O29 0.906 0.445 0.059
O30 0.910 0.858 0.688
O31 0.923 0.910 0.076
O32 0.981 0.131 0.806
F1 0.223 0.335 0.687
F2 0.277 0.666 0.810
F3 0.723 0.166 0.190
F4 0.777 0.835 0.313

Largest 8 diffraction maxima, in order of rising 2θ, 10 to 90 degrees two-theta:
2θ 16.2, d = 5.473 Å, intensity 29; 2θ 28.4, d = 3.140 Å, intensity 43; 2θ 29.1, d = 3.066 Å, intensity 100; 2θ 30.3, d = 2.951 Å, intensity 53; 2θ 32.5, d = 2.752 Å, intensity 37; 2θ 48.5, d = 1.877 Å, intensity 24; 2θ 49.2, d = 1.851 Å, intensity 34; 2θ 54.1, d = 1.695 Å, intensity 24